Nd3Ti4O12: computed X-ray powder pattern (Cu Kα), based on a crystal structure in the Materials Project, relaxed with GGA-PBE.

Principal peaks in the range 2θ from 5° to 70°, sorted by position:
2θ/deg  d_spacing  I_rel
11.4  7.753  21
16.1  5.521  22
19.7  4.497  25
32.4  2.762  100
32.7  2.738  56
40.1  2.249  32
46.0  1.971  20
46.9  1.938  17
47.0  1.934  17
57.6  1.600  22
58.2  1.585  43
67.9  1.381  20

Structure:
```
Nd3Ti4O12
1.0
7.7526 0.0000 0.0000
0.0000 3.8674 3.9421
0.0000 -3.8674 3.9421
Nd Ti O
3 4 12
Direct
0.0000 0.0000 0.0000 Nd
0.0000 0.4917 0.4917 Nd
0.5000 0.9955 0.9955 Nd
0.2570 0.4931 0.9932 Ti
0.2570 0.9932 0.4931 Ti
0.7430 0.4931 0.9932 Ti
0.7430 0.9932 0.4931 Ti
0.0000 0.0510 0.4411 O
0.0000 0.4411 0.0510 O
0.1901 0.7402 0.7402 O
0.2351 0.2319 0.7502 O
0.2351 0.7502 0.2319 O
0.2900 0.2250 0.2250 O
0.5000 0.5488 0.9557 O
0.5000 0.9557 0.5488 O
0.7100 0.2250 0.2250 O
0.7649 0.2319 0.7502 O
0.7649 0.7502 0.2319 O
0.8099 0.7402 0.7402 O
```